This entry pairs a crystal structure of Mg4Si7 with its theoretical XRD peak list. Radiation: a wavelength of 1.5418 Å. Structure: a crystal structure in the Materials Project, relaxed with PBE.
Kinematic intensities with the Lorentz-polarization factor, no thermal factor.

Most intense lines, 15 to 90 degrees two-theta, by angle:
- hkl 1 1 -4, 35.48 deg, 2.530 Å, I = 92
- hkl 1 1 4, 35.62 deg, 2.520 Å, I = 48
- hkl 2 1 2, 37.52 deg, 2.397 Å, I = 71
- hkl 0 2 0, 38.99 deg, 2.310 Å, I = 100
- hkl 1 1 5, 40.79 deg, 2.212 Å, I = 29
- hkl 2 1 -4, 43.89 deg, 2.063 Å, I = 22

Cell and atoms:
abc: 6.1489 4.6204 13.8459
angles: 90.00 90.30 90.00
Element x y z (fractional)
Mg: 0.0000 0.0000 0.0000
Mg: 0.0051 0.0000 0.5392
Mg: 0.1372 0.0000 0.3198
Mg: 0.4040 0.0000 0.1350
Mg: 0.5101 0.5000 0.7722
Mg: 0.5352 0.0000 0.4410
Mg: 0.7952 0.5000 0.3211
Mg: 0.9837 0.5000 0.6880
Si: 0.0807 0.5000 0.1673
Si: 0.1037 0.5000 0.8818
Si: 0.1732 0.5000 0.4348
Si: 0.2158 0.0000 0.8159
Si: 0.3138 0.5000 0.0272
Si: 0.3794 0.5000 0.2818
Si: 0.3819 0.5000 0.5789
Si: 0.3928 0.0000 0.6544
Si: 0.5891 0.0000 0.8949
Si: 0.6786 0.5000 0.1177
Si: 0.7278 0.5000 0.9448
Si: 0.7503 0.5000 0.5146
Si: 0.7566 0.0000 0.7346
Si: 0.8403 0.0000 0.1807